Structure and simulated powder diffractogram of Tb2Zn5Co5 (a cell relaxed with PBE; Cu Kα, 1.54184 Å).

Largest 12 diffraction maxima, in order of rising 2θ, 2θ from 15° to 90°:
two_theta, intensity, h k l
29.77, 17, 1 0 2
30.00, 46, 1 1 1
35.03, 33, 0 1 3
35.62, 17, 0 2 0
40.44, 17, 0 0 4
41.14, 27, 0 2 2
41.70, 100, 1 1 3
42.22, 46, 1 2 0
44.68, 37, 2 0 0
58.00, 15, 2 1 3
62.34, 15, 2 2 2
68.14, 22, 1 3 3

Cell lengths 4.056, 5.040, 8.922 Å; angles 90.00, 90.00, 90.00 degrees
Fractional positions:
Tb (0.000, 0.000, 0.000)
Tb (0.000, 0.500, 0.500)
Zn (0.000, 0.000, 0.323)
Zn (0.000, 0.000, 0.677)
Zn (0.000, 0.500, 0.169)
Zn (0.000, 0.500, 0.831)
Zn (0.500, 0.000, 0.500)
Co (0.500, 0.246, 0.240)
Co (0.500, 0.246, 0.760)
Co (0.500, 0.500, 0.000)
Co (0.500, 0.754, 0.240)
Co (0.500, 0.754, 0.760)